Starting from the GGA+U geometry in Alexandria, the X-ray diffraction stick pattern of PmCr2GeO8 was calculated for CuKα.
Neutral-atom scattering factors, no anomalous dispersion.

Crystal structure
abc: 4.937 4.937 6.949
angles: 91.50 91.50 70.49
Fractional positions:
Pm (0.000, 0.000, 0.000)
Cr (0.373, 0.373, 0.721)
Cr (0.627, 0.627, 0.279)
Ge (0.000, 0.000, 0.500)
O (0.213, 0.760, 0.707)
O (0.233, 0.233, 0.526)
O (0.240, 0.787, 0.293)
O (0.293, 0.293, 0.947)
O (0.707, 0.707, 0.053)
O (0.760, 0.213, 0.707)
O (0.767, 0.767, 0.474)
O (0.787, 0.240, 0.293)

Main lines, sorted by position (15° ≤ 2θ ≤ 90°):
2θ = 19.1°, d 4.653, rel. 89
2θ = 22.1°, d 4.030, rel. 72
2θ = 23.2°, d 3.833, rel. 67
2θ = 25.2°, d 3.535, rel. 34
2θ = 31.4°, d 2.849, rel. 65
2θ = 31.9°, d 2.808, rel. 100
2θ = 32.5°, d 2.759, rel. 74
2θ = 37.0°, d 2.430, rel. 78